(1)
Diffraction record for Rb2BaTlSb2. The powder diffraction line list is simulated, not measured: it uses a cell relaxed with PBE and copper Kα.
Neutral-atom scattering factors, no anomalous dispersion.

Largest 6 diffraction maxima, sorted by position, 10 to 80 degrees two-theta:
Position (°2θ)  I (rel.)
12.9  42
25.8  65
26.1  75
27.2  100
31.1  92
34.4  55

Cell and atoms:
Cell: 5.2170 10.3602 9.2134 Å, 90.00 90.00 90.00°
Space group Pmc2_1 (No. 26)
Symmetry-distinct sites (fractional):
Rb: 0.0000 0.0863 0.0000 [2 per cell]
Rb: 0.5000 0.1690 0.3263 [2 per cell]
Ba: 0.5000 0.4543 0.9564 [2 per cell]
Tl: 0.0000 0.3205 0.6139 [2 per cell]
Sb: 0.0000 0.4022 0.2394 [2 per cell]
Sb: 0.5000 0.1801 0.7201 [2 per cell]

---

(2)
Diffraction record for Rh2Au. The powder diffraction line list is simulated, not measured: it uses a cell relaxed with PBE and copper Kα.
Neutral-atom scattering factors, no anomalous dispersion.

Largest 6 diffraction maxima, sorted by position, 10 to 80 degrees two-theta:
Position (°2θ)  I (rel.)
37.2  66
38.9  75
41.4  39
41.8  100
42.6  95
43.1  37

Cell and atoms:
Cell: 10.6373 2.7914 6.5369 Å, 90.00 105.48 90.00°
Space group C2/m (No. 12)
Symmetry-distinct sites (fractional):
Rh: 0.1517 0.0000 0.0336 [4 per cell]
Rh: 0.2026 0.0000 0.6382 [4 per cell]
Au: 0.0229 0.5000 0.2964 [4 per cell]

---

(3)
Diffraction record for MgTl3. The powder diffraction line list is simulated, not measured: it uses a cell relaxed with PBE and copper Kα.
Neutral-atom scattering factors, no anomalous dispersion.

Largest 6 diffraction maxima, sorted by position, 10 to 80 degrees two-theta:
Position (°2θ)  I (rel.)
29.7  30
30.9  18
33.0  21
34.1  100
52.7  20
63.6  20

Cell and atoms:
Cell: 3.4721 3.4721 10.8504 Å, 90.00 90.00 120.00°
Space group P-6m2 (No. 187)
Symmetry-distinct sites (fractional):
Mg: 0.0000 0.0000 0.0000 [1 per cell]
Tl: 0.0000 0.0000 0.5000 [1 per cell]
Tl: 0.6667 0.3333 0.2310 [2 per cell]

---

(4)
Diffraction record for RbAl2ZnCl8. The powder diffraction line list is simulated, not measured: it uses a cell relaxed with PBE and copper Kα.
Neutral-atom scattering factors, no anomalous dispersion.

Largest 6 diffraction maxima, sorted by position, 10 to 80 degrees two-theta:
Position (°2θ)  I (rel.)
19.8  95
27.1  35
28.7  87
33.0  100
46.8  52
47.9  48

Cell and atoms:
Cell: 6.5818 6.5818 28.8872 Å, 90.00 90.00 120.00°
Space group R-3 (No. 148, hexagonal axes)
Symmetry-distinct sites (fractional):
Rb: 0.0000 0.0000 0.0000 [3 per cell]
Al: 0.0000 0.0000 0.2497 [6 per cell]
Zn: 0.0000 0.0000 0.5000 [3 per cell]
Cl: 0.0000 0.0000 0.3244 [6 per cell]
Cl: 0.0143 0.3197 0.7734 [18 per cell]